# 1
Ti3VSb2P6O24: theoretical X-ray diffraction stick pattern (CuKα), based on a cell relaxed with GGA+U.
Kinematic intensities with the Lorentz-polarization factor, no thermal factor.

Top 10 peaks for 2θ from 10° to 90°, by intensity:
| 2θ/deg | I_rel |
| --- | --- |
| 20.37 | 100 |
| 31.76 | 99 |
| 23.70 | 75 |
| 35.67 | 39 |
| 48.50 | 36 |
| 24.91 | 34 |
| 45.65 | 32 |
| 14.19 | 28 |
| 55.79 | 26 |
| 61.64 | 25 |

Structural model:
a b c (Å): 8.937 8.937 8.937
angles (deg): 58.40 58.40 58.40
Positions (direct):
Ti 0.000 0.000 0.000
Ti 0.204 0.204 0.204
Ti 0.502 0.502 0.502
V 0.707 0.707 0.707
Sb 0.350 0.350 0.350
Sb 0.850 0.850 0.850
P 0.105 0.812 0.393
P 0.312 0.603 0.895
P 0.393 0.105 0.812
P 0.603 0.895 0.312
P 0.812 0.393 0.105
P 0.895 0.312 0.603
O 0.051 0.848 0.236
O 0.086 0.284 0.433
O 0.119 0.769 0.915
O 0.158 0.971 0.352
O 0.236 0.051 0.848
O 0.272 0.622 0.413
O 0.284 0.433 0.086
O 0.348 0.552 0.735
O 0.352 0.158 0.971
O 0.413 0.272 0.622
O 0.433 0.086 0.284
O 0.465 0.648 0.870
O 0.552 0.735 0.348
O 0.584 0.942 0.795
O 0.622 0.413 0.272
O 0.648 0.870 0.465
O 0.735 0.348 0.552
O 0.769 0.915 0.119
O 0.795 0.584 0.942
O 0.848 0.236 0.051
O 0.870 0.465 0.648
O 0.915 0.119 0.769
O 0.942 0.795 0.584
O 0.971 0.352 0.158


# 2
Li7Mn14O32: theoretical X-ray diffraction stick pattern (CuKα), based on a cell relaxed with GGA+U.
Kinematic intensities with the Lorentz-polarization factor, no thermal factor.

Top 10 peaks for 2θ from 10° to 90°, by intensity:
| 2θ/deg | I_rel |
| --- | --- |
| 18.65 | 100 |
| 43.93 | 53 |
| 36.13 | 43 |
| 63.87 | 30 |
| 58.15 | 19 |
| 67.16 | 13 |
| 48.11 | 8 |
| 37.80 | 6 |
| 80.72 | 6 |
| 76.67 | 5 |

Structural model:
a b c (Å): 19.318 19.318 19.318
angles (deg): 17.37 17.37 17.37
Positions (direct):
Li 0.000 0.000 0.000
Li 0.060 0.060 0.060
Li 0.250 0.250 0.250
Li 0.310 0.310 0.310
Li 0.499 0.499 0.499
Li 0.559 0.559 0.559
Li 0.808 0.808 0.808
Mn 0.022 0.532 0.532
Mn 0.032 0.032 0.522
Mn 0.032 0.522 0.032
Mn 0.278 0.278 0.785
Mn 0.278 0.785 0.278
Mn 0.287 0.777 0.777
Mn 0.405 0.405 0.405
Mn 0.522 0.032 0.032
Mn 0.532 0.022 0.532
Mn 0.532 0.532 0.022
Mn 0.777 0.287 0.777
Mn 0.777 0.777 0.287
Mn 0.785 0.278 0.278
Mn 0.905 0.905 0.905
O 0.073 0.073 0.631
O 0.073 0.631 0.073
O 0.095 0.095 0.095
O 0.136 0.572 0.572
O 0.178 0.736 0.736
O 0.214 0.214 0.214
O 0.235 0.235 0.677
O 0.235 0.677 0.235
O 0.337 0.337 0.864
O 0.337 0.864 0.337
O 0.345 0.345 0.345
O 0.363 0.838 0.838
O 0.445 0.972 0.972
O 0.464 0.464 0.464
O 0.472 0.472 0.945
O 0.472 0.945 0.472
O 0.572 0.136 0.572
O 0.572 0.572 0.136
O 0.595 0.595 0.595
O 0.631 0.073 0.073
O 0.677 0.235 0.235
O 0.713 0.713 0.713
O 0.736 0.178 0.736
O 0.736 0.736 0.178
O 0.838 0.363 0.838
O 0.838 0.838 0.363
O 0.845 0.845 0.845
O 0.864 0.337 0.337
O 0.945 0.472 0.472
O 0.964 0.964 0.964
O 0.972 0.445 0.972
O 0.972 0.972 0.445


# 3
Mo3H12C4NO10: theoretical X-ray diffraction stick pattern (CuKα), based on a cell relaxed with GGA+U.
Kinematic intensities with the Lorentz-polarization factor, no thermal factor.

Top 10 peaks for 2θ from 10° to 90°, by intensity:
| 2θ/deg | I_rel |
| --- | --- |
| 10.52 | 100 |
| 12.16 | 35 |
| 26.69 | 24 |
| 21.14 | 22 |
| 37.05 | 20 |
| 44.44 | 13 |
| 63.59 | 12 |
| 30.07 | 12 |
| 31.94 | 11 |
| 53.40 | 10 |

Structural model:
a b c (Å): 10.295 10.295 10.295
angles (deg): 60.00 60.00 60.00
Positions (direct):
Mo 0.162 0.162 0.838
Mo 0.162 0.838 0.162
Mo 0.162 0.838 0.838
Mo 0.838 0.162 0.162
Mo 0.838 0.162 0.838
Mo 0.838 0.838 0.162
H 0.030 0.265 0.265
H 0.030 0.265 0.440
H 0.030 0.440 0.265
H 0.265 0.030 0.265
H 0.265 0.030 0.440
H 0.265 0.265 0.030
H 0.265 0.265 0.440
H 0.265 0.440 0.030
H 0.265 0.440 0.265
H 0.440 0.030 0.265
H 0.440 0.265 0.030
H 0.440 0.265 0.265
H 0.560 0.735 0.735
H 0.560 0.735 0.970
H 0.560 0.970 0.735
H 0.735 0.560 0.735
H 0.735 0.560 0.970
H 0.735 0.735 0.560
H 0.735 0.735 0.970
H 0.735 0.970 0.560
H 0.735 0.970 0.735
H 0.970 0.560 0.735
H 0.970 0.735 0.560
H 0.970 0.735 0.735
C 0.071 0.310 0.310
C 0.310 0.071 0.310
C 0.310 0.310 0.071
C 0.310 0.310 0.310
C 0.690 0.690 0.690
C 0.690 0.690 0.929
C 0.690 0.929 0.690
C 0.929 0.690 0.690
N 0.250 0.250 0.250
N 0.750 0.750 0.750
O 0.000 0.000 0.000
O 0.000 0.000 0.262
O 0.000 0.000 0.738
O 0.000 0.262 0.000
O 0.000 0.262 0.738
O 0.000 0.738 0.000
O 0.000 0.738 0.262
O 0.262 0.000 0.000
O 0.262 0.000 0.738
O 0.262 0.738 0.000
O 0.280 0.280 0.720
O 0.280 0.720 0.280
O 0.280 0.720 0.720
O 0.500 0.500 0.500
O 0.720 0.280 0.280
O 0.720 0.280 0.720
O 0.720 0.720 0.280
O 0.738 0.000 0.000
O 0.738 0.000 0.262
O 0.738 0.262 0.000


# 4
TiCo3P4O16: theoretical X-ray diffraction stick pattern (CuKα), based on a cell relaxed with GGA+U.
Kinematic intensities with the Lorentz-polarization factor, no thermal factor.

Top 10 peaks for 2θ from 10° to 90°, by intensity:
| 2θ/deg | I_rel |
| --- | --- |
| 36.20 | 100 |
| 25.21 | 93 |
| 20.23 | 91 |
| 18.00 | 78 |
| 30.01 | 76 |
| 23.44 | 34 |
| 36.47 | 30 |
| 51.74 | 26 |
| 57.40 | 25 |
| 48.08 | 23 |

Structural model:
a b c (Å): 4.902 5.955 9.859
angles (deg): 90.00 90.15 90.00
Positions (direct):
Ti 0.000 0.000 0.000
Co 0.432 0.000 0.504
Co 0.497 0.500 0.045
Co 0.938 0.500 0.543
P 0.033 0.500 0.868
P 0.378 0.500 0.373
P 0.571 0.000 0.177
P 0.877 0.000 0.672
O 0.112 0.500 0.717
O 0.174 0.293 0.943
O 0.174 0.707 0.943
O 0.188 0.000 0.651
O 0.232 0.297 0.445
O 0.232 0.703 0.445
O 0.266 0.000 0.141
O 0.325 0.500 0.222
O 0.611 0.000 0.330
O 0.690 0.500 0.401
O 0.724 0.197 0.103
O 0.724 0.803 0.103
O 0.728 0.203 0.605
O 0.728 0.500 0.886
O 0.728 0.797 0.605
O 0.825 0.000 0.828


# 5
LiCoPO4: theoretical X-ray diffraction stick pattern (CuKα), based on a cell relaxed with GGA+U.
Kinematic intensities with the Lorentz-polarization factor, no thermal factor.

Top 10 peaks for 2θ from 10° to 90°, by intensity:
| 2θ/deg | I_rel |
| --- | --- |
| 11.25 | 100 |
| 25.89 | 26 |
| 36.75 | 23 |
| 33.98 | 16 |
| 38.55 | 12 |
| 28.31 | 11 |
| 43.57 | 11 |
| 51.06 | 10 |
| 66.18 | 9 |
| 60.39 | 8 |

Structural model:
a b c (Å): 8.360 8.360 8.360
angles (deg): 34.02 34.02 34.02
Positions (direct):
Li 0.218 0.218 0.218
Li 0.782 0.782 0.782
Co 0.341 0.341 0.341
Co 0.659 0.659 0.659
P 0.075 0.075 0.075
P 0.925 0.925 0.925
O 0.030 0.760 0.368
O 0.139 0.139 0.139
O 0.240 0.632 0.970
O 0.368 0.030 0.760
O 0.632 0.970 0.240
O 0.760 0.368 0.030
O 0.861 0.861 0.861
O 0.970 0.240 0.632